Starting from DFT lattice parameters and positions (PBE+U), the powder XRD pattern of CoPdSeO was calculated for CuKα.

The 10 most intense peaks (2θ = 10–90°), in order of rising 2θ:
(0 0 2), 2θ = 30.8°, rel. 41
(2 0 1), 2θ = 33.5°, rel. 37
(0 1 2), 2θ = 33.8°, rel. 42
(1 2 1), 2θ = 34.6°, rel. 54
(2 1 1), 2θ = 36.2°, rel. 52
(1 1 2), 2θ = 37.0°, rel. 100
(2 2 0), 2θ = 40.5°, rel. 37
(1 3 0), 2θ = 43.8°, rel. 66
(3 1 0), 2θ = 47.3°, rel. 42
(2 2 2), 2θ = 51.8°, rel. 31

Atomic structure:
a = 6.0304 Å, b = 6.6033 Å, c = 5.8001 Å
α = 90.00°, β = 90.00°, γ = 90.00°
Space group Pca2_1 (No. 29)
Asymmetric unit:
Co (0.1504, 0.1337, 0.0000) x4
Pd (0.2280, 0.7430, 0.7675) x4
Se (0.0947, 0.3973, 0.7029) x4
O (0.0843, 0.0357, 0.3194) x4